The following is a theoretical X-ray diffraction stick pattern of Pm5Sb3Ir. It was derived from a DFT-relaxed cell (PBE, OQMD), using Cu Ka.
Lines closer than 0.1° are merged.

Most intense lines, 15 to 90 degrees two-theta, in order of rising 2θ:
two_theta	Rel. int.
30.93	84.5
31.27	64.6
33.17	100.0
35.59	56.4
39.22	76.7
58.28	44.3

Structural model:
```
data_Pm5Sb3Ir
_symmetry_space_group_name_H-M 'P -6 2 m'
_symmetry_Int_Tables_number 189
_symmetry_space_group_name_Hall 'P -6 -2'
_cell_length_a 8.7391
_cell_length_b 8.7391
_cell_length_c 3.8553
_cell_angle_alpha 90.00
_cell_angle_beta 90.00
_cell_angle_gamma 120.00
loop_
_atom_site_label
_atom_site_fract_x
_atom_site_fract_y
_atom_site_fract_z
Pm1 0.0000 0.2363 0.0000
Pm2 0.3333 0.6667 0.0000
Sb1 0.0000 0.6047 0.5000
Ir1 0.0000 0.0000 0.5000
```

=====

The following is a theoretical X-ray diffraction stick pattern of YZnCuSe3. It was derived from a DFT-relaxed cell (PBE, OQMD), using Cu Ka.
Lines closer than 0.1° are merged.

Most intense lines, 15 to 90 degrees two-theta, in order of rising 2θ:
two_theta	Rel. int.
28.76	37.2
32.71	49.2
35.23	23.8
35.90	100.0
46.17	27.0
47.74	27.1

Structural model:
```
data_YZnCuSe3
_symmetry_space_group_name_H-M 'C m c m'
_symmetry_Int_Tables_number 63
_symmetry_space_group_name_Hall '-C 2c 2'
_cell_length_a 3.810
_cell_length_b 12.702
_cell_length_c 10.674
_cell_angle_alpha 90.00
_cell_angle_beta 90.00
_cell_angle_gamma 90.00
loop_
_atom_site_label
_atom_site_fract_x
_atom_site_fract_y
_atom_site_fract_z
Y1 0.000 0.000 0.000
Zn1 0.000 0.226 0.250
Cu1 0.000 0.481 0.750
Se1 0.000 0.108 0.750
Se2 0.000 0.349 0.583
```

=====

The following is a theoretical X-ray diffraction stick pattern of TbTmIn4. It was derived from a DFT-relaxed cell (PBE, OQMD), using Cu Ka.
Lines closer than 0.1° are merged.

Most intense lines, 15 to 90 degrees two-theta, in order of rising 2θ:
two_theta	Rel. int.
33.37	100.0
38.12	16.0
38.87	16.9
39.19	16.5
66.91	12.9
67.35	12.7

Structural model:
```
data_TbTmIn4
_symmetry_space_group_name_H-M 'A m m 2'
_symmetry_Int_Tables_number 38
_cell_length_a 4.634
_cell_length_b 4.597
_cell_length_c 14.166
_cell_angle_alpha 90.00
_cell_angle_beta 90.00
_cell_angle_gamma 90.00
loop_
_symmetry_equiv_pos_as_xyz
'x,y,z'
'-x,-y,z'
'-x,y,z'
'x,-y,z'
'x,y+1/2,z+1/2'
'-x,-y+1/2,z+1/2'
'-x,y+1/2,z+1/2'
'x,-y+1/2,z+1/2'
loop_
_atom_site_label
_atom_site_fract_x
_atom_site_fract_y
_atom_site_fract_z
Tb1 0.000 0.000 0.000
Tm1 0.000 0.000 0.310
In1 0.000 0.000 0.656
In2 0.500 0.000 0.157
In3 0.500 0.000 0.479
In4 0.500 0.000 0.830
```

=====

The following is a theoretical X-ray diffraction stick pattern of Nd2Sm2CI2Br3. It was derived from a DFT-relaxed cell (PBE, OQMD), using Cu Ka.
Lines closer than 0.1° are merged.

Most intense lines, 15 to 90 degrees two-theta, in order of rising 2θ:
two_theta	Rel. int.
28.94	43.1
30.84	100.0
33.01	40.3
42.74	24.0
42.86	43.3
45.47	18.6

Structural model:
```
data_Nd2Sm2CI2Br3
_symmetry_space_group_name_H-M 'C 1 2/m 1'
_symmetry_Int_Tables_number 12
_cell_length_a 19.001
_cell_length_b 3.990
_cell_length_c 8.440
_cell_angle_alpha 90.00
_cell_angle_beta 103.06
_cell_angle_gamma 90.00
loop_
_symmetry_equiv_pos_as_xyz
'x,y,z'
'-x,-y,-z'
'-x,y,-z'
'x,-y,z'
'x+1/2,y+1/2,z'
'-x+1/2,-y+1/2,-z'
'-x+1/2,y+1/2,-z'
'x+1/2,-y+1/2,z'
loop_
_atom_site_label
_atom_site_fract_x
_atom_site_fract_y
_atom_site_fract_z
Nd1 0.000 0.000 0.206
Sm1 0.134 0.500 0.073
C1 0.000 0.500 0.000
I1 0.172 0.000 0.815
Br1 0.000 0.500 0.500
Br2 0.161 0.000 0.334
```

=====

The following is a theoretical X-ray diffraction stick pattern of DyTm3Sc2Bi2Os. It was derived from a DFT-relaxed cell (PBE, OQMD), using Cu Ka.
Lines closer than 0.1° are merged.

Most intense lines, 15 to 90 degrees two-theta, in order of rising 2θ:
two_theta	Rel. int.
22.08	38.9
30.77	100.0
33.40	79.7
38.74	58.3
40.40	49.0
59.31	34.3

Structural model:
```
data_DyTm3Sc2Bi2Os
_symmetry_space_group_name_H-M 'A m m 2'
_symmetry_Int_Tables_number 38
_cell_length_a 4.200
_cell_length_b 13.940
_cell_length_c 8.055
_cell_angle_alpha 90.00
_cell_angle_beta 90.00
_cell_angle_gamma 90.00
loop_
_symmetry_equiv_pos_as_xyz
'x,y,z'
'-x,-y,z'
'-x,y,z'
'x,-y,z'
'x,y+1/2,z+1/2'
'-x,-y+1/2,z+1/2'
'-x,y+1/2,z+1/2'
'x,-y+1/2,z+1/2'
loop_
_atom_site_label
_atom_site_fract_x
_atom_site_fract_y
_atom_site_fract_z
Dy1 0.000 0.000 0.000
Tm1 0.500 0.000 0.609
Tm2 0.500 0.193 0.043
Sc1 0.000 0.114 0.347
Bi1 0.000 0.169 0.728
Os1 0.500 0.000 0.244
```

=====

The following is a theoretical X-ray diffraction stick pattern of NaErMg6. It was derived from a DFT-relaxed cell (PBE, OQMD), using Cu Ka.
Lines closer than 0.1° are merged.

Most intense lines, 15 to 90 degrees two-theta, in order of rising 2θ:
two_theta	Rel. int.
15.37	78.8
23.00	62.6
31.02	34.2
31.90	28.3
35.59	100.0
55.19	23.3

Structural model:
```
data_NaErMg6
_symmetry_space_group_name_H-M 'P -6 m 2'
_symmetry_Int_Tables_number 187
_symmetry_space_group_name_Hall 'P -6 2'
_cell_length_a 6.6582
_cell_length_b 6.6582
_cell_length_c 5.2119
_cell_angle_alpha 90.00
_cell_angle_beta 90.00
_cell_angle_gamma 120.00
loop_
_atom_site_label
_atom_site_fract_x
_atom_site_fract_y
_atom_site_fract_z
Na1 0.0000 0.0000 0.0000
Er1 0.3333 0.6667 0.5000
Mg1 0.3471 0.1736 0.5000
Mg2 0.5014 0.0029 0.0000
```